Record 1
The following is a calculated powder diffraction line list of CaAs3PdRh2. It was derived from a PBE-relaxed structure, using Cu Kα (weighted mean of Kα1 and Kα2).

Most intense lines, 15 to 90 degrees two-theta, in order of rising 2θ:
| two_theta | I/Imax |
| --- | --- |
| 16.7 | 27 |
| 27.9 | 29 |
| 28.2 | 35 |
| 33.8 | 100 |
| 36.3 | 25 |
| 44.4 | 28 |
| 48.0 | 27 |
| 49.1 | 58 |
| 50.7 | 43 |
| 80.3 | 20 |

Atomic structure:
a b c (Å): 7.5813 7.5813 7.5813
angles (deg): 58.64 58.64 58.64
Element x y z (fractional)
1 Ca 0.2310 0.2310 0.2310
2 Ca 0.7690 0.7690 0.7690
3 As 0.2639 0.2639 0.6971
4 As 0.2639 0.6971 0.2639
5 As 0.3029 0.7361 0.7361
6 As 0.6971 0.2639 0.2639
7 As 0.7361 0.3029 0.7361
8 As 0.7361 0.7361 0.3029
9 Pd 0.0789 0.0789 0.0789
10 Pd 0.9211 0.9211 0.9211
11 Rh 0.0000 0.5000 0.5000
12 Rh 0.5000 0.0000 0.5000
13 Rh 0.5000 0.5000 0.0000
14 Rh 0.5000 0.5000 0.5000

Record 2
The following is a calculated powder diffraction line list of HoMg4Cd15. It was derived from a PBE-relaxed structure, using Cu Kα (weighted mean of Kα1 and Kα2).

Most intense lines, 15 to 90 degrees two-theta, in order of rising 2θ:
| two_theta | I/Imax |
| --- | --- |
| 19.4 | 5 |
| 28.6 | 4 |
| 34.8 | 100 |
| 39.4 | 36 |
| 42.4 | 14 |
| 56.9 | 12 |
| 59.2 | 20 |
| 68.4 | 26 |
| 72.6 | 10 |
| 73.4 | 10 |

Atomic structure:
a b c (Å): 4.5787 4.5787 21.3286
angles (deg): 90.00 90.00 90.00
Element x y z (fractional)
1 Ho 0.0000 0.0000 0.0000
2 Mg 0.0000 0.0000 0.2024
3 Mg 0.0000 0.0000 0.4021
4 Mg 0.0000 0.0000 0.5979
5 Mg 0.0000 0.0000 0.7976
6 Cd 0.0000 0.5000 0.1056
7 Cd 0.0000 0.5000 0.3020
8 Cd 0.0000 0.5000 0.5000
9 Cd 0.0000 0.5000 0.6980
10 Cd 0.0000 0.5000 0.8944
11 Cd 0.5000 0.0000 0.1056
12 Cd 0.5000 0.0000 0.3020
13 Cd 0.5000 0.0000 0.5000
14 Cd 0.5000 0.0000 0.6980
15 Cd 0.5000 0.0000 0.8944
16 Cd 0.5000 0.5000 0.0000
17 Cd 0.5000 0.5000 0.2057
18 Cd 0.5000 0.5000 0.3994
19 Cd 0.5000 0.5000 0.6006
20 Cd 0.5000 0.5000 0.7943

What is the formula in the second record? HoMg4Cd15